The following is a simulated X-ray diffraction stick pattern of KTl2Pb. It was derived from a crystal structure in Alexandria, relaxed with PBE, using λ = 1.5418 Å (Cu Kα).
Neutral-atom scattering factors, no anomalous dispersion.

Top 10 peaks for 2θ = 10–80°, in order of rising 2θ:
h k l, 2θ/deg, intensity
0 0 1, 10.9, 85
0 1 2, 29.9, 97
1 1 0, 31.2, 100
1 0 2, 32.3, 79
1 1 -1, 33.1, 28
0 1 3, 39.1, 24
0 2 0, 41.0, 45
1 2 2, 53.1, 39
1 1 4, 55.4, 22
2 1 2, 57.7, 31

```
KTl2Pb
1.0
3.785 0.000 0.000
0.000 4.407 0.000
-0.011 0.000 8.120
K Tl Pb
1 2 1
Direct
0.000 0.000 0.000
0.499 0.500 0.287
0.501 0.500 0.713
0.000 0.000 0.500
```